Diffraction record for Zn2TeHO6. The powder diffraction line list is calculated, not measured: it uses a structure optimized by DFT (PBE) and Cu Kα X-rays.
Peak positions follow from Bragg's law for the DFT cell and can differ from measured ones.

Top 10 peaks for 15 to 90 degrees two-theta, sorted by position:
19.82°, intensity 169
22.56°, intensity 807
33.25°, intensity 1000
34.02°, intensity 357
35.00°, intensity 206
42.04°, intensity 297
54.63°, intensity 398
55.31°, intensity 199
61.67°, intensity 161
66.00°, intensity 166

Structural model:
```
Zn2TeHO6
1.0
4.3606 0.0000 0.0000
0.0000 5.1272 0.0000
0.0000 0.0000 9.2158
Zn Te H O
4 2 2 12
Cartesian
0.0000 0.0000 1.7521
0.0000 0.0000 7.4637
2.1803 2.5636 2.8558
2.1803 2.5636 6.3600
0.0000 2.5636 0.0000
2.1803 0.0000 4.6079
0.0000 2.5636 4.6079
2.1803 0.0000 0.0000
1.0093 1.7104 1.4039
1.0093 1.7104 7.8119
1.0539 1.7773 4.6079
1.1265 4.3409 0.0000
1.1710 4.2740 3.2040
1.1710 4.2740 6.0118
3.1896 0.8532 3.2040
3.1896 0.8532 6.0118
3.2342 0.7862 0.0000
3.3068 3.3498 4.6079
3.3513 3.4168 1.4039
3.3513 3.4168 7.8119
```